No. 1
Hf3Te2: calculated X-ray powder pattern (a wavelength of 1.5418 Å), based on a crystal structure in the Materials Project, relaxed with PBE.
Kinematic intensities with the Lorentz-polarization factor, no thermal factor.

a b c (Å): 3.710 3.710 19.161
angles (deg): 90.00 90.00 90.00
Sites, in units of the cell vectors:
1 Hf 0.000 0.000 0.000
2 Hf 0.000 0.000 0.411
3 Hf 0.000 0.000 0.589
4 Hf 0.500 0.500 0.089
5 Hf 0.500 0.500 0.500
6 Hf 0.500 0.500 0.911
7 Te 0.000 0.000 0.159
8 Te 0.000 0.000 0.841
9 Te 0.500 0.500 0.341
10 Te 0.500 0.500 0.659

Peak list (10 most intense, 10 to 80 degrees two-theta, sorted by position)
| 2theta | I_rel |
| --- | --- |
| 18.52 | 14 |
| 33.62 | 100 |
| 34.18 | 88 |
| 35.48 | 14 |
| 40.97 | 68 |
| 49.11 | 32 |
| 60.84 | 37 |
| 65.82 | 34 |
| 68.83 | 19 |
| 79.14 | 13 |

=====

No. 2
CsLaMg14: calculated X-ray powder pattern (a wavelength of 1.5418 Å), based on a crystal structure in the Materials Project, relaxed with PBE.
Kinematic intensities with the Lorentz-polarization factor, no thermal factor.

a b c (Å): 10.851 6.705 6.705
angles (deg): 59.67 90.00 90.00
Sites, in units of the cell vectors:
1 Cs 0.000 0.000 0.000
2 La 0.000 0.493 0.493
3 Mg 0.000 0.503 0.997
4 Mg 0.000 0.997 0.503
5 Mg 0.254 0.670 0.670
6 Mg 0.263 0.176 0.176
7 Mg 0.273 0.171 0.656
8 Mg 0.273 0.656 0.171
9 Mg 0.500 0.002 0.002
10 Mg 0.500 0.501 0.999
11 Mg 0.500 0.504 0.504
12 Mg 0.500 0.999 0.501
13 Mg 0.727 0.171 0.656
14 Mg 0.727 0.656 0.171
15 Mg 0.737 0.176 0.176
16 Mg 0.746 0.670 0.670

Peak list (10 most intense, 10 to 80 degrees two-theta, sorted by position)
| 2theta | I_rel |
| --- | --- |
| 15.23 | 26 |
| 16.34 | 26 |
| 17.30 | 41 |
| 22.41 | 26 |
| 30.90 | 29 |
| 32.01 | 21 |
| 33.02 | 36 |
| 35.01 | 47 |
| 35.15 | 100 |
| 60.32 | 27 |

=====

No. 3
NdNi2Ge2: calculated X-ray powder pattern (a wavelength of 1.5418 Å), based on a crystal structure in the Materials Project, relaxed with PBE.
Kinematic intensities with the Lorentz-polarization factor, no thermal factor.

a b c (Å): 4.144 4.144 9.877
angles (deg): 90.00 90.00 90.00
Sites, in units of the cell vectors:
1 Nd 0.000 0.000 0.000
2 Nd 0.500 0.500 0.500
3 Ni 0.000 0.500 0.250
4 Ni 0.000 0.500 0.750
5 Ni 0.500 0.000 0.250
6 Ni 0.500 0.000 0.750
7 Ge 0.000 0.000 0.368
8 Ge 0.000 0.000 0.632
9 Ge 0.500 0.500 0.132
10 Ge 0.500 0.500 0.868

Peak list (10 most intense, 10 to 80 degrees two-theta, sorted by position)
| 2theta | I_rel |
| --- | --- |
| 30.51 | 27 |
| 34.80 | 100 |
| 35.63 | 93 |
| 43.69 | 69 |
| 51.23 | 24 |
| 57.03 | 48 |
| 63.50 | 22 |
| 64.98 | 22 |
| 69.56 | 19 |
| 74.98 | 20 |